Tb3Tm7In: theoretical powder diffraction line list (Cu Kα (λ = 1.5418 Å)), based on the GGA-PBE geometry in Alexandria.
Neutral-atom scattering factors, no anomalous dispersion.

Crystal structure
Lattice parameters (Å, degrees): 6.8858 6.8858 8.4331 90.00 90.00 120.00
Space group P3m1 (No. 156)
Inequivalent atoms, fractional coordinates:
Tb1 0.1675 0.3349 0.0000 x3
Tm1 0.0058 0.5029 0.3386 x3
Tm2 0.3310 0.1655 0.6598 x3
Tm3 0.3333 0.6667 0.6718 x1
In1 0.0000 0.0000 0.3397 x1

Largest 12 diffraction maxima, in order of rising 2θ, 15° ≤ 2θ ≤ 90°:
18.22 deg, I 6
25.88 deg, I 4
31.83 deg, I 100
36.92 deg, I 51
41.47 deg, I 3
45.64 deg, I 2
53.21 deg, I 35
56.72 deg, I 1
63.35 deg, I 42
66.53 deg, I 12
78.59 deg, I 6
87.29 deg, I 18